Structure and theoretical X-ray powder pattern of CaCuO2 (a crystal structure in the Materials Project, relaxed with GGA-PBE; Cu Kα).
No peak broadening, texture or thermal motion is included.

Largest 10 diffraction maxima, low angle first, 10° ≤ 2θ ≤ 90°:
2theta	Rel. int.
18.9	14
32.7	67
34.3	50
38.4	49
39.1	100
54.3	14
56.0	53
58.7	14
65.9	33
68.8	15

Structure:
```
data_CaCuO2
_chemical_formula_sum 'Ca2 Cu2 O4'
_space_group_name_H-M_alt 'P 1'
_space_group_IT_number 1
_cell_length_a 5.776
_cell_length_b 5.776
_cell_length_c 3.146
_cell_angle_alpha 90.00
_cell_angle_beta 90.00
_cell_angle_gamma 108.40
loop_
_space_group_symop_operation_xyz
'x,y,z'
loop_
_atom_site_label
_atom_site_fract_x
_atom_site_fract_y
_atom_site_fract_z
_atom_site_occupancy
Ca1 0.000 0.500 0.000 1
Ca2 0.500 0.000 0.000 1
Cu1 0.000 0.000 0.500 1
Cu2 0.500 0.500 0.500 1
O1 0.201 0.799 0.500 1
O2 0.321 0.321 0.000 1
O3 0.679 0.679 0.000 1
O4 0.799 0.201 0.500 1
```

Structure and theoretical X-ray powder pattern of CaCu2O4 (a crystal structure in the Materials Project, relaxed with GGA-PBE; Cu Kα).
No peak broadening, texture or thermal motion is included.

Largest 10 diffraction maxima, low angle first, 10° ≤ 2θ ≤ 90°:
2theta	Rel. int.
16.9	65
28.2	44
33.1	46
33.7	100
34.1	82
35.5	30
40.9	53
54.0	31
58.3	38
60.0	52

Structure:
```
data_CaCu2O4
_chemical_formula_sum 'Ca2 Cu4 O8'
_space_group_name_H-M_alt 'P 1'
_space_group_IT_number 1
_cell_length_a 6.331
_cell_length_b 6.331
_cell_length_c 6.331
_cell_angle_alpha 58.27
_cell_angle_beta 58.27
_cell_angle_gamma 58.27
loop_
_space_group_symop_operation_xyz
'x,y,z'
loop_
_atom_site_label
_atom_site_fract_x
_atom_site_fract_y
_atom_site_fract_z
_atom_site_occupancy
Ca1 0.000 0.000 0.000 1
Ca2 0.397 0.397 0.397 1
Cu1 0.390 0.390 0.900 1
Cu2 0.390 0.900 0.390 1
Cu3 0.783 0.783 0.783 1
Cu4 0.900 0.390 0.390 1
O1 0.143 0.143 0.143 1
O2 0.146 0.146 0.569 1
O3 0.146 0.569 0.146 1
O4 0.196 0.657 0.657 1
O5 0.569 0.146 0.146 1
O6 0.657 0.196 0.657 1
O7 0.657 0.657 0.196 1
O8 0.664 0.664 0.664 1
```

Structure and theoretical X-ray powder pattern of CaCu2O4 (a crystal structure in the Materials Project, relaxed with GGA-PBE; Cu Kα).
No peak broadening, texture or thermal motion is included.

Largest 10 diffraction maxima, low angle first, 10° ≤ 2θ ≤ 90°:
2theta	Rel. int.
17.4	36
28.7	23
33.8	100
35.4	17
41.0	28
54.2	37
59.4	42
70.2	9
71.0	8
84.7	9

Structure:
```
data_CaCu2O4
_chemical_formula_sum 'Ca6 Cu12 O24'
_space_group_name_H-M_alt 'P 1'
_space_group_IT_number 1
_cell_length_a 6.217
_cell_length_b 6.217
_cell_length_c 15.256
_cell_angle_alpha 90.00
_cell_angle_beta 90.00
_cell_angle_gamma 120.00
loop_
_space_group_symop_operation_xyz
'x,y,z'
loop_
_atom_site_label
_atom_site_fract_x
_atom_site_fract_y
_atom_site_fract_z
_atom_site_occupancy
Ca1 0.000 0.000 0.000 1
Ca2 0.000 0.000 0.234 1
Ca3 0.000 0.000 0.603 1
Ca4 0.333 0.667 0.358 1
Ca5 0.333 0.667 0.947 1
Ca6 0.667 0.333 0.662 1
Cu1 0.005 0.503 0.120 1
Cu2 0.164 0.328 0.777 1
Cu3 0.164 0.836 0.777 1
Cu4 0.333 0.667 0.564 1
Cu5 0.342 0.171 0.441 1
Cu6 0.497 0.503 0.120 1
Cu7 0.497 0.995 0.120 1
Cu8 0.667 0.333 0.274 1
Cu9 0.667 0.333 0.886 1
Cu10 0.672 0.836 0.777 1
Cu11 0.829 0.171 0.441 1
Cu12 0.829 0.658 0.441 1
O1 0.000 0.000 0.381 1
O2 0.000 0.000 0.857 1
O3 0.025 0.513 0.839 1
O4 0.169 0.338 0.505 1
O5 0.169 0.831 0.505 1
O6 0.187 0.374 0.060 1
O7 0.187 0.813 0.060 1
O8 0.287 0.143 0.714 1
O9 0.333 0.667 0.205 1
O10 0.333 0.667 0.688 1
O11 0.394 0.197 0.182 1
O12 0.487 0.513 0.839 1
O13 0.487 0.975 0.839 1
O14 0.533 0.067 0.360 1
O15 0.533 0.467 0.360 1
O16 0.626 0.813 0.060 1
O17 0.662 0.831 0.505 1
O18 0.667 0.333 0.008 1
O19 0.667 0.333 0.509 1
O20 0.803 0.197 0.182 1
O21 0.803 0.606 0.182 1
O22 0.857 0.143 0.714 1
O23 0.857 0.713 0.714 1
O24 0.933 0.467 0.360 1
```

Question: What is the formula in the first record?
Answer: CaCuO2